Theoretical powder XRD pattern of MgPb5 for CuKα, from a structure optimized by DFT (PBE).
Lines closer than 0.1° are merged.

Top 10 peaks for 10° ≤ 2θ ≤ 90°, low angle first:
2θ = 28.9°, intensity 47, hkl 1 1 1; 2θ = 30.7°, intensity 76, hkl 4 0 -2; 2θ = 32.7°, intensity 100, hkl 3 1 0; 2θ = 32.9°, intensity 99, hkl 1 1 -2; 2θ = 34.8°, intensity 41, hkl 4 0 1; 2θ = 35.2°, intensity 40, hkl 0 0 3; 2θ = 54.3°, intensity 32, hkl 3 1 3; 2θ = 55.7°, intensity 22, hkl 7 1 -2; 2θ = 56.1°, intensity 22, hkl 5 1 -4; 2θ = 59.5°, intensity 24, hkl 4 2 -2

Crystal structure
a = 13.043 Å, b = 3.677 Å, c = 8.106 Å
α = 90.00°, β = 109.26°, γ = 90.00°
Space group Cm (No. 8)
Unique sites:
Mg 0.000 0.000 0.000 x2
Pb 0.107 0.500 0.729 x2
Pb 0.162 0.500 0.325 x2
Pb 0.282 0.000 0.054 x2
Pb 0.338 0.000 0.671 x2
Pb 0.446 0.500 0.386 x2